Diffraction record for Li4PPd2Pb. The PXRD pattern is simulated, not measured: it uses a crystal structure in OQMD, relaxed with GGA-PBE and Cu Kα (weighted mean of Kα1 and Kα2).
No peak broadening, texture or thermal motion is included.

Atomic structure:
Unit cell a=4.254 b=4.254 c=6.434 alpha=90.00 beta=90.00 gamma=90.00
Positions (direct):
Li 0.000 0.000 0.000
Li 0.000 0.500 0.212
Li 0.500 0.000 0.788
Li 0.500 0.500 0.500
P 0.500 0.500 0.000
Pd 0.000 0.500 0.790
Pd 0.500 0.000 0.210
Pb 0.000 0.000 0.500

Top 10 peaks for 15° ≤ 2θ ≤ 90°, sorted by position:
h k l, Position (°2θ), I/Imax
1 0 0, 20.9, 24.2
1 0 1, 25.1, 100.0
1 1 1, 32.9, 29.0
1 0 2, 35.0, 18.7
1 1 2, 41.1, 59.1
2 0 0, 42.5, 30.2
1 0 3, 47.5, 14.5
2 1 1, 50.0, 30.6
2 2 0, 61.7, 15.6
3 1 2, 76.8, 18.9